Starting from a PBE-relaxed structure, the powder XRD pattern of MgNbOs2 was calculated for copper Kα.

Largest 10 diffraction maxima, by angle, 2θ = 15–90°:
| two_theta | d [Å] | I_rel | (hkl) |
| --- | --- | --- | --- |
| 22.4 | 3.965 | 25 | 0 0 2 |
| 23.0 | 3.862 | 18 | 1 0 0 |
| 25.7 | 3.472 | 71 | 1 0 1 |
| 40.5 | 2.230 | 100 | 1 1 0 |
| 41.4 | 2.181 | 86 | 1 0 3 |
| 46.7 | 1.943 | 21 | 1 1 2 |
| 51.8 | 1.764 | 20 | 1 0 4 |
| 59.3 | 1.559 | 30 | 2 0 3 |
| 73.6 | 1.287 | 17 | 3 0 0 |
| 74.2 | 1.278 | 31 | 2 1 3 |

Atomic structure:
Lattice parameters (Å, degrees): 4.4596 4.4596 7.9291 90.00 90.00 120.00
Sites, in units of the cell vectors:
Mg: 0.3333 0.6667 0.2500
Mg: 0.6667 0.3333 0.7500
Nb: 0.0000 0.0000 0.0000
Nb: 0.0000 0.0000 0.5000
Os: 0.3333 0.6667 0.5972
Os: 0.3333 0.6667 0.9028
Os: 0.6667 0.3333 0.0972
Os: 0.6667 0.3333 0.4028